[1]
Computed PXRD pattern of MgFe4O8 for Cu Kα, 1.54184 Å, from DFT lattice parameters and positions (PBE+U).
No peak broadening, texture or thermal motion is included.

Top 8 peaks for 2θ = 10–90°, sorted by position:
2theta, intensity
11.1, 100
11.6, 88
15.4, 82
16.7, 24
22.3, 15
33.7, 23
35.2, 14
35.4, 16

Structure:
```
data_MgFe4O8
_chemical_formula_sum 'Mg1 Fe4 O8'
_cell_length_a 2.9888
_cell_length_b 7.7387
_cell_length_c 8.1189
_cell_angle_alpha 84.30
_cell_angle_beta 80.06
_cell_angle_gamma 82.02
_symmetry_space_group_name_H-M 'P 1'
_symmetry_Int_Tables_number 1
loop_
_symmetry_equiv_pos_as_xyz
'x,y,z'
loop_
_atom_site_label
_atom_site_type_symbol
_atom_site_fract_x
_atom_site_fract_y
_atom_site_fract_z
_atom_site_occupancy
Mg1 Mg 0.0000 0.0000 0.0000 1
Fe1 Fe 0.2988 0.6814 0.9101 1
Fe2 Fe 0.3118 0.0803 0.3449 1
Fe3 Fe 0.6715 0.0565 0.6655 1
Fe4 Fe 0.8843 0.3528 0.9810 1
O1 O 0.1706 0.1916 0.5583 1
O2 O 0.1904 0.9029 0.7642 1
O3 O 0.2901 0.4816 0.0720 1
O4 O 0.5084 0.1838 0.8934 1
O5 O 0.5472 0.8191 0.0396 1
O6 O 0.8178 0.9439 0.4372 1
O7 O 0.8552 0.1633 0.1908 1
O8 O 0.9118 0.5613 0.8124 1
```

=====

[2]
Computed PXRD pattern of MgFe2O4 for Cu Kα, 1.54184 Å, from DFT lattice parameters and positions (PBE+U).
No peak broadening, texture or thermal motion is included.

Top 8 peaks for 2θ = 10–90°, sorted by position:
2theta, intensity
17.9, 35
31.9, 28
32.8, 100
41.6, 31
42.6, 40
45.6, 46
63.6, 24
64.0, 44

Structure:
```
data_MgFe2O4
_chemical_formula_sum 'Mg4 Fe8 O16'
_cell_length_a 2.9268
_cell_length_b 9.7297
_cell_length_c 9.9180
_cell_angle_alpha 90.00
_cell_angle_beta 90.00
_cell_angle_gamma 90.00
_symmetry_space_group_name_H-M 'P b c m'
_symmetry_Int_Tables_number 57
loop_
_symmetry_equiv_pos_as_xyz
'x,y,z'
'-x,-y,-z'
'-x,-y,z+1/2'
'x,y,-z+1/2'
'x,-y+1/2,-z'
'-x,y+1/2,z'
'-x,y+1/2,-z+1/2'
'x,-y+1/2,z+1/2'
loop_
_atom_site_label
_atom_site_type_symbol
_atom_site_fract_x
_atom_site_fract_y
_atom_site_fract_z
_atom_site_occupancy
Mg1 Mg 0.2238 0.1392 0.2500 1
Fe1 Fe 0.2588 0.6171 0.5743 1
O1 O 0.2406 0.2500 0.0000 1
O2 O 0.2454 0.5225 0.1153 1
O3 O 0.2727 0.7129 0.7500 1
```

=====

[3]
Computed PXRD pattern of MgFe2O4 for Cu Kα, 1.54184 Å, from DFT lattice parameters and positions (PBE+U).
No peak broadening, texture or thermal motion is included.

Top 8 peaks for 2θ = 10–90°, sorted by position:
2theta, intensity
11.7, 89
19.4, 80
28.7, 95
35.4, 100
36.9, 46
42.0, 55
50.9, 92
51.3, 58

Structure:
```
data_MgFe2O4
_chemical_formula_sum 'Mg4 Fe8 O16'
_cell_length_a 15.0648
_cell_length_b 2.9324
_cell_length_c 9.1580
_cell_angle_alpha 90.00
_cell_angle_beta 124.19
_cell_angle_gamma 90.00
_symmetry_space_group_name_H-M 'C 1 2/m 1'
_symmetry_Int_Tables_number 12
loop_
_symmetry_equiv_pos_as_xyz
'x,y,z'
'-x,-y,-z'
'-x,y,-z'
'x,-y,z'
'x+1/2,y+1/2,z'
'-x+1/2,-y+1/2,-z'
'-x+1/2,y+1/2,-z'
'x+1/2,-y+1/2,z'
loop_
_atom_site_label
_atom_site_type_symbol
_atom_site_fract_x
_atom_site_fract_y
_atom_site_fract_z
_atom_site_occupancy
Mg1 Mg 0.1887 0.0000 0.1690 1
Fe1 Fe 0.1026 0.0000 0.7988 1
Fe2 Fe 0.1495 0.5000 0.4805 1
O1 O 0.0519 0.0000 0.3453 1
O2 O 0.1389 0.5000 0.9831 1
O3 O 0.1453 0.5000 0.7026 1
O4 O 0.2255 0.5000 0.3559 1
```